Starting from DFT lattice parameters and positions (GGA-PBE), the X-ray powder pattern of Nd3Al2Au7 was computed for CuKα.
Peak positions follow from Bragg's law for the DFT cell and can differ from measured ones.

Peak list (10 most intense, 2θ = 5–70°, by angle)
d [Å]  two_theta  intensity
14.152  6.25  35
3.006  29.72  35
2.821  31.71  53
2.577  34.82  100
2.549  35.21  32
2.322  38.79  18
2.175  41.51  67
1.655  55.54  17
1.538  60.15  23
1.400  66.82  25

Atomic structure:
a b c (Å): 4.351 4.351 28.303
angles (deg): 90.00 90.00 90.00
Space group I4/mmm (No. 139)
Symmetry-distinct sites (fractional):
1 Nd 0.000 0.000 0.000 [2 per cell]
2 Nd 0.000 0.000 0.175 [4 per cell]
3 Al 0.000 0.000 0.372 [4 per cell]
4 Au 0.000 0.000 0.282 [4 per cell]
5 Au 0.000 0.000 0.500 [2 per cell]
6 Au 0.000 0.500 0.081 [8 per cell]

=====

Starting from DFT lattice parameters and positions (GGA-PBE), the X-ray powder pattern of TmPuV was computed for CuKα.
Peak positions follow from Bragg's law for the DFT cell and can differ from measured ones.

Peak list (10 most intense, 2θ = 5–70°, by angle)
d [Å]  two_theta  intensity
4.548  19.52  22
3.885  22.89  25
2.803  31.93  66
2.451  36.67  100
2.403  37.43  20
2.352  38.27  39
2.329  38.67  25
2.274  39.63  28
1.542  60.00  25
1.400  66.83  28

Atomic structure:
a b c (Å): 5.610 5.818 7.770
angles (deg): 90.00 90.00 90.00
Space group Imma (No. 74)
Symmetry-distinct sites (fractional):
1 Tm 0.000 0.250 0.118 [4 per cell]
2 Pu 0.000 0.000 0.500 [4 per cell]
3 V 0.250 0.250 0.750 [4 per cell]

=====

Starting from DFT lattice parameters and positions (GGA-PBE), the X-ray powder pattern of Rb3Sn2Br2Cl5 was computed for CuKα.
Peak positions follow from Bragg's law for the DFT cell and can differ from measured ones.

Peak list (10 most intense, 2θ = 5–70°, by angle)
d [Å]  two_theta  intensity
4.000  22.23  45
3.956  22.48  100
3.300  27.02  31
2.861  31.27  35
2.797  32.00  96
2.764  32.40  30
2.318  38.85  29
2.000  45.35  49
1.978  45.88  34
1.627  56.57  26

Atomic structure:
a b c (Å): 5.594 5.594 28.606
angles (deg): 90.00 90.00 90.00
Space group I4/mmm (No. 139)
Symmetry-distinct sites (fractional):
1 Rb 0.000 0.000 0.000 [2 per cell]
2 Rb 0.000 0.000 0.178 [4 per cell]
3 Sn 0.000 0.000 0.401 [4 per cell]
4 Br 0.000 0.000 0.298 [4 per cell]
5 Cl 0.000 0.000 0.500 [2 per cell]
6 Cl 0.000 0.500 0.097 [8 per cell]

=====

Starting from DFT lattice parameters and positions (GGA-PBE), the X-ray powder pattern of LiMg6Cu6 was computed for CuKα.
Peak positions follow from Bragg's law for the DFT cell and can differ from measured ones.

Peak list (10 most intense, 2θ = 5–70°, by angle)
d [Å]  two_theta  intensity
4.541  19.55  100
4.511  19.68  46
2.270  39.70  36
2.260  39.89  66
2.257  39.94  26
2.250  40.07  25
2.028  44.68  24
2.022  44.82  96
2.016  44.96  47
1.601  57.56  22

Atomic structure:
a b c (Å): 5.222 9.001 9.082
angles (deg): 90.00 90.00 90.00
Space group Immm (No. 71)
Symmetry-distinct sites (fractional):
1 Li 0.000 0.000 0.000 [2 per cell]
2 Mg 0.000 0.000 0.325 [4 per cell]
3 Mg 0.000 0.328 0.500 [4 per cell]
4 Mg 0.000 0.337 0.000 [4 per cell]
5 Cu 0.000 0.500 0.257 [4 per cell]
6 Cu 0.250 0.250 0.250 [8 per cell]

=====

Starting from DFT lattice parameters and positions (GGA-PBE), the X-ray powder pattern of Ca6Cd2NO was computed for CuKα.
Peak positions follow from Bragg's law for the DFT cell and can differ from measured ones.

Peak list (10 most intense, 2θ = 5–70°, by angle)
d [Å]  two_theta  intensity
4.930  17.99  16
3.486  25.55  38
2.846  31.43  100
2.469  36.39  43
2.457  36.56  21
1.746  52.41  14
1.742  52.54  27
1.488  62.40  25
1.483  62.63  12
1.423  65.59  13

Atomic structure:
a b c (Å): 6.983 6.983 9.830
angles (deg): 90.00 90.00 90.00
Space group I4/mmm (No. 139)
Symmetry-distinct sites (fractional):
1 Ca 0.000 0.000 0.248 [4 per cell]
2 Ca 0.247 0.247 0.000 [8 per cell]
3 Cd 0.000 0.500 0.250 [4 per cell]
4 N 0.000 0.000 0.000 [2 per cell]
5 O 0.000 0.000 0.500 [2 per cell]

=====

Starting from DFT lattice parameters and positions (GGA-PBE), the X-ray powder pattern of Zr2Zn2Ni15 was computed for CuKα.
Peak positions follow from Bragg's law for the DFT cell and can differ from measured ones.

Peak list (10 most intense, 2θ = 5–70°, by angle)
d [Å]  two_theta  intensity
2.367  38.02  41
2.306  39.05  27
2.050  44.19  58
2.043  44.34  100
2.023  44.81  33
2.010  45.10  15
2.004  45.26  12
1.828  49.88  57
1.814  50.30  16
1.440  64.75  11

Atomic structure:
a b c (Å): 8.1986 8.1986 12.1358
angles (deg): 90.00 90.00 120.00
Space group R-3m (No. 166, hexagonal axes)
Symmetry-distinct sites (fractional):
1 Zr 0.0000 0.0000 0.1511 [6 per cell]
2 Zn 0.0000 0.0000 0.3991 [6 per cell]
3 Ni 0.0000 0.3086 0.5000 [18 per cell]
4 Ni 0.0000 0.5000 0.0000 [9 per cell]
5 Ni 0.0048 0.5024 0.6554 [18 per cell]